# La6Tl5Zn
Theoretical X-ray powder pattern, Cu Ka. Input: a DFT-relaxed cell (PBE, Alexandria).
Neutral-atom scattering factors, no anomalous dispersion.

The 10 most intense peaks (2θ from 5° to 70°), sorted by position:
2θ/deg	I (rel.)
20.15	2
22.41	2
31.90	51
32.05	100
45.73	19
46.19	9
56.93	39
57.23	19
66.67	6
67.03	12

Atomic structure:
```
La6Tl5Zn
1.0
5.6113 0.0000 0.0000
0.0000 7.8612 0.0000
-2.7891 0.0000 8.4178
La Tl Zn
6 5 1
Cartesian
0.0000 1.9038 0.0000
0.0000 5.9574 0.0000
0.0113 1.9199 5.6720
0.0113 5.9413 5.6720
2.8109 1.9199 2.7458
2.8109 5.9413 2.7458
0.0048 0.0000 2.7893
0.0051 3.9306 2.8352
2.8056 3.9306 0.0000
2.8171 3.9306 5.5826
2.8174 0.0000 5.6285
2.8056 0.0000 0.0000
```

---

# LaTb4Pr2Er
Theoretical X-ray powder pattern, Cu Ka. Input: a DFT-relaxed cell (PBE, Alexandria).
Neutral-atom scattering factors, no anomalous dispersion.

The 10 most intense peaks (2θ from 5° to 70°), sorted by position:
2θ/deg	I (rel.)
30.26	100
34.91	17
35.08	17
35.24	17
50.33	12
50.45	12
59.75	15
59.96	14
60.18	14
62.93	12

Atomic structure:
```
LaTb4Pr2Er
1.0
5.1167 0.0000 0.0000
0.0000 5.1395 0.0000
0.0000 0.0000 10.1869
La Tb Pr Er
1 4 2 1
Cartesian
0.0000 0.0000 0.0000
0.0000 2.5698 2.5894
0.0000 2.5698 7.5975
2.5583 0.0000 2.5856
2.5583 0.0000 7.6013
0.0000 0.0000 5.0935
2.5583 2.5698 0.0000
2.5583 2.5698 5.0935
```

---

# Li2GaRuN
Theoretical X-ray powder pattern, Cu Ka. Input: a DFT-relaxed cell (PBE, Alexandria).
Neutral-atom scattering factors, no anomalous dispersion.

The 10 most intense peaks (2θ from 5° to 70°), sorted by position:
2θ/deg	I (rel.)
22.15	16
23.24	77
31.53	100
39.53	99
45.19	44
47.50	19
51.42	36
58.13	32
65.82	14
67.65	25

Atomic structure:
```
Li2GaRuN
1.0
4.0130 0.0000 0.0000
0.0000 4.0130 0.0000
0.0000 0.0000 3.8282
Li Ga Ru N
2 1 1 1
Cartesian
0.0000 2.0065 0.0000
2.0065 0.0000 0.0000
0.0000 0.0000 1.9141
2.0065 2.0065 1.9141
2.0065 2.0065 0.0000
```

---

# Tl15Au
Theoretical X-ray powder pattern, Cu Ka. Input: a DFT-relaxed cell (PBE, Alexandria).
Neutral-atom scattering factors, no anomalous dispersion.

The 10 most intense peaks (2θ from 5° to 70°), sorted by position:
2θ/deg	I (rel.)
29.33	24
31.85	24
33.47	100
43.84	15
52.01	20
57.79	20
60.83	3
62.29	22
63.28	16
66.56	3

Atomic structure:
```
Tl15Au
1.0
7.0330 0.0000 0.0000
-3.5165 6.0907 0.0000
0.0000 0.0000 11.2387
Tl Au
15 1
Cartesian
0.0000 0.0000 0.0000
-1.7100 3.0732 5.6193
1.7198 0.9929 2.9653
1.7198 0.9929 8.2733
0.0000 4.0605 2.7576
0.0000 4.0605 8.4811
1.7100 3.0732 5.6193
0.0000 6.0351 5.6193
3.5165 0.0320 0.0000
1.7860 3.0293 0.0000
5.3132 0.9929 2.9653
5.3132 0.9929 8.2733
3.5165 4.1049 2.9653
3.5165 4.1049 8.2733
5.2470 3.0293 0.0000
0.0000 0.0000 5.6193
```

---

# ZrTaSi
Theoretical X-ray powder pattern, Cu Ka. Input: a DFT-relaxed cell (PBE, Alexandria).
Neutral-atom scattering factors, no anomalous dispersion.

The 10 most intense peaks (2θ from 5° to 70°), sorted by position:
2θ/deg	I (rel.)
12.42	26
31.69	26
34.96	100
35.70	35
37.94	36
38.65	44
40.14	20
46.01	29
49.13	23
64.21	36

Atomic structure:
```
ZrTaSi
1.0
12.3015 0.0000 0.0000
0.0000 3.7085 0.0000
0.0000 0.0000 7.1246
Zr Ta Si
6 6 6
Cartesian
0.6011 0.0000 1.6923
3.0754 0.0000 6.0164
5.5497 0.0000 1.6923
6.7518 0.0000 5.4323
9.2261 0.0000 1.1082
11.7004 0.0000 5.4323
1.4032 1.8543 4.0156
3.0754 1.8543 1.3990
4.7475 1.8543 4.0156
7.5540 1.8543 3.1090
9.2261 1.8543 5.7256
10.8983 1.8543 3.1090
1.1588 1.8543 6.6997
3.0754 0.0000 3.2186
4.9919 1.8543 6.6997
7.3096 1.8543 0.4248
9.2261 0.0000 3.9060
11.1427 1.8543 0.4248
```

---

# Tb2ErTl3
Theoretical X-ray powder pattern, Cu Ka. Input: a DFT-relaxed cell (PBE, Alexandria).
Neutral-atom scattering factors, no anomalous dispersion.

The 10 most intense peaks (2θ from 5° to 70°), sorted by position:
2θ/deg	I (rel.)
21.78	1
24.29	1
32.85	100
34.62	44
41.27	1
44.39	11
49.77	16
57.49	21
60.92	35
68.87	12

Atomic structure:
```
Tb2ErTl3
1.0
3.6641 0.0000 0.0000
0.0000 3.6641 0.0000
0.0000 0.0000 12.2444
Tb Er Tl
2 1 3
Cartesian
0.0000 0.0000 2.0546
0.0000 0.0000 10.1897
0.0000 0.0000 6.1222
1.8321 1.8321 0.0000
1.8321 1.8321 4.1145
1.8321 1.8321 8.1299
```

---

# Pr7Sm3Y
Theoretical X-ray powder pattern, Cu Ka. Input: a DFT-relaxed cell (PBE, Alexandria).
Neutral-atom scattering factors, no anomalous dispersion.

The 10 most intense peaks (2θ from 5° to 70°), sorted by position:
2θ/deg	I (rel.)
28.37	18
29.01	26
30.50	52
31.27	100
32.74	29
33.02	54
37.03	19
49.62	26
53.61	22
59.52	20

Atomic structure:
```
Pr7Sm3Y
1.0
9.7861 -3.6493 0.0000
9.7861 3.6493 0.0000
-5.6023 0.0000 11.4628
Pr Sm Y
14 6 2
Cartesian
3.8571 1.8342 5.3927
1.0728 1.8489 11.1381
5.5844 2.0661 8.5971
5.4236 0.0302 2.5926
2.6225 -0.0302 8.3240
10.0960 1.8489 6.0561
12.9141 1.8342 0.3387
1.0559 -1.8342 11.1241
3.8740 -1.8489 5.4067
11.3475 0.0302 3.1388
8.5464 -0.0302 8.8701
8.3856 -2.0661 2.8657
12.8972 -1.8489 0.3247
10.1129 -1.8342 6.0701
1.7722 0.0051 3.1455
-1.0290 -0.0051 8.8769
9.7861 0.0000 0.0000
6.9850 0.0000 5.7314
14.9990 0.0051 2.5859
12.1978 -0.0051 8.3173
0.0000 0.0000 0.0000
-2.8011 0.0000 5.7314
```